# Li2FeSnP2O8
Theoretical powder diffractogram, Cu Kα, 1.54184 Å. Input: a PBE+U-relaxed structure.
Lines closer than 0.1° are merged.

Atomic structure:
Lattice parameters (Å, degrees): 4.862 6.301 11.268 90.00 90.01 90.00
Sites, in units of the cell vectors:
Li: 0.000 0.000 0.000
Li: 0.000 0.500 0.000
Li: 0.500 0.000 0.500
Li: 0.500 0.500 0.500
Fe: 0.061 0.250 0.295
Fe: 0.939 0.750 0.705
Sn: 0.479 0.250 0.780
Sn: 0.521 0.750 0.220
P: 0.083 0.750 0.423
P: 0.350 0.750 0.886
P: 0.650 0.250 0.114
P: 0.917 0.250 0.577
O: 0.202 0.553 0.827
O: 0.202 0.947 0.827
O: 0.204 0.750 0.551
O: 0.211 0.550 0.359
O: 0.211 0.950 0.359
O: 0.234 0.250 0.583
O: 0.257 0.750 0.018
O: 0.338 0.250 0.132
O: 0.662 0.750 0.868
O: 0.743 0.250 0.982
O: 0.766 0.750 0.417
O: 0.789 0.050 0.641
O: 0.789 0.450 0.641
O: 0.796 0.250 0.449
O: 0.798 0.053 0.173
O: 0.798 0.447 0.173

The 10 most intense peaks (10 to 90 degrees two-theta), most intense first:
two_theta  Rel. int.  hkl
24.44  100  1 1 -1
33.33  78  1 1 -3
28.33  53  0 2 0
15.73  47  0 0 2
34.87  40  0 1 4
50.07  32  2 2 2
53.42  29  1 3 -3
24.18  29  1 0 2
19.89  28  1 0 -1
47.89  23  1 3 -1